1.
The following is a calculated powder diffraction line list of Nd2RuO5. It was derived from a structure optimized by DFT (PBE), using λ = 1.5418 Å (Cu Kα).
Kinematic intensities with the Lorentz-polarization factor, no thermal factor.

Most intense lines, 10 to 90 degrees two-theta, low angle first:
| d (Å) | I/Imax |
| --- | --- |
| 7.830 | 16 |
| 3.620 | 12 |
| 3.192 | 100 |
| 3.120 | 77 |
| 3.077 | 12 |
| 3.025 | 13 |
| 2.769 | 44 |
| 1.994 | 23 |
| 1.920 | 32 |
| 1.894 | 11 |
| 1.680 | 25 |
| 1.648 | 12 |

Structure:
Cell: 10.653 3.988 11.547 Å, 90.00 90.00 90.00°
Positions (direct):
Nd 0.102 0.250 0.231
Nd 0.133 0.250 0.566
Nd 0.367 0.750 0.066
Nd 0.398 0.750 0.731
Nd 0.602 0.250 0.269
Nd 0.633 0.250 0.934
Nd 0.867 0.750 0.434
Nd 0.898 0.750 0.769
Ru 0.189 0.250 0.882
Ru 0.311 0.750 0.382
Ru 0.689 0.250 0.618
Ru 0.811 0.750 0.118
O 0.011 0.750 0.595
O 0.033 0.250 0.800
O 0.220 0.250 0.044
O 0.226 0.750 0.229
O 0.236 0.750 0.884
O 0.264 0.250 0.384
O 0.274 0.250 0.729
O 0.280 0.750 0.544
O 0.467 0.750 0.300
O 0.489 0.250 0.095
O 0.511 0.750 0.905
O 0.533 0.250 0.700
O 0.720 0.250 0.456
O 0.726 0.750 0.271
O 0.736 0.750 0.616
O 0.764 0.250 0.116
O 0.774 0.250 0.771
O 0.780 0.750 0.956
O 0.967 0.750 0.200
O 0.989 0.250 0.405


2.
The following is a calculated powder diffraction line list of La2Th8O19. It was derived from a structure optimized by DFT (PBE), using λ = 1.5418 Å (Cu Kα).
Kinematic intensities with the Lorentz-polarization factor, no thermal factor.

Most intense lines, 10 to 90 degrees two-theta, low angle first:
| d (Å) | I/Imax |
| --- | --- |
| 3.291 | 100 |
| 3.144 | 87 |
| 2.784 | 68 |
| 2.041 | 17 |
| 1.968 | 62 |
| 1.905 | 14 |
| 1.712 | 31 |
| 1.689 | 14 |
| 1.668 | 14 |
| 1.649 | 28 |
| 1.392 | 15 |
| 1.245 | 17 |

Structure:
Cell: 3.810 4.081 27.825 Å, 90.00 90.00 90.00°
Positions (direct):
La 0.000 0.000 0.000
La 0.500 0.500 0.110
Th 0.000 0.000 0.205
Th 0.000 0.000 0.405
Th 0.000 0.000 0.605
Th 0.000 0.000 0.805
Th 0.500 0.500 0.305
Th 0.500 0.500 0.505
Th 0.500 0.500 0.705
Th 0.500 0.500 0.904
O 0.000 0.500 0.059
O 0.000 0.500 0.157
O 0.000 0.500 0.257
O 0.000 0.500 0.355
O 0.000 0.500 0.457
O 0.000 0.500 0.555
O 0.000 0.500 0.657
O 0.000 0.500 0.754
O 0.000 0.500 0.856
O 0.000 0.500 0.952
O 0.500 0.000 0.155
O 0.500 0.000 0.254
O 0.500 0.000 0.357
O 0.500 0.000 0.454
O 0.500 0.000 0.557
O 0.500 0.000 0.655
O 0.500 0.000 0.757
O 0.500 0.000 0.855
O 0.500 0.000 0.959


3.
The following is a calculated powder diffraction line list of GeSe2. It was derived from a structure optimized by DFT (PBE), using λ = 1.5418 Å (Cu Kα).
Kinematic intensities with the Lorentz-polarization factor, no thermal factor.

Most intense lines, 10 to 90 degrees two-theta, low angle first:
| d (Å) | I/Imax |
| --- | --- |
| 5.139 | 39 |
| 3.207 | 100 |
| 3.035 | 10 |
| 2.613 | 9 |
| 2.146 | 28 |
| 1.889 | 38 |
| 1.784 | 35 |
| 1.518 | 9 |
| 1.506 | 10 |
| 1.233 | 10 |
| 1.183 | 15 |
| 1.156 | 8 |

Structure:
Cell: 6.458 6.458 6.458 Å, 123.93 123.93 83.31°
Positions (direct):
Ge 0.000 0.000 0.000
Ge 0.750 0.250 0.500
Se 0.109 0.625 0.984
Se 0.375 0.359 0.484
Se 0.641 0.125 0.016
Se 0.875 0.891 0.516


4.
The following is a calculated powder diffraction line list of Sb2H3NF11. It was derived from a structure optimized by DFT (PBE), using λ = 1.5418 Å (Cu Kα).
Kinematic intensities with the Lorentz-polarization factor, no thermal factor.

Most intense lines, 10 to 90 degrees two-theta, low angle first:
| d (Å) | I/Imax |
| --- | --- |
| 5.732 | 28 |
| 5.659 | 80 |
| 4.418 | 97 |
| 4.067 | 41 |
| 4.007 | 100 |
| 3.900 | 55 |
| 3.819 | 62 |
| 3.417 | 44 |
| 3.363 | 36 |
| 2.156 | 32 |
| 2.146 | 43 |
| 2.008 | 26 |

Structure:
Cell: 6.765 8.582 8.627 Å, 76.99 72.22 70.95°
Positions (direct):
Sb 0.123 0.140 0.180
Sb 0.299 0.628 0.270
Sb 0.701 0.372 0.730
Sb 0.877 0.860 0.820
H 0.310 0.142 0.518
H 0.428 0.023 0.672
H 0.436 0.858 0.483
H 0.564 0.142 0.517
H 0.572 0.977 0.328
H 0.690 0.858 0.482
N 0.456 0.070 0.547
N 0.544 0.930 0.453
F 0.005 0.336 0.642
F 0.033 0.373 0.167
F 0.136 0.102 0.407
F 0.140 0.132 0.960
F 0.162 0.887 0.741
F 0.218 0.885 0.199
F 0.279 0.618 0.060
F 0.314 0.688 0.468
F 0.364 0.395 0.344
F 0.411 0.364 0.814
F 0.428 0.111 0.137
F 0.572 0.889 0.863
F 0.589 0.636 0.186
F 0.636 0.605 0.656
F 0.686 0.312 0.532
F 0.721 0.382 0.940
F 0.782 0.115 0.801
F 0.838 0.113 0.259
F 0.860 0.868 0.040
F 0.864 0.898 0.593
F 0.967 0.627 0.833
F 0.995 0.664 0.358


5.
The following is a calculated powder diffraction line list of KGd2CuS4. It was derived from a structure optimized by DFT (PBE), using λ = 1.5418 Å (Cu Kα).
Kinematic intensities with the Lorentz-polarization factor, no thermal factor.

Most intense lines, 10 to 90 degrees two-theta, low angle first:
| d (Å) | I/Imax |
| --- | --- |
| 6.906 | 32 |
| 6.125 | 90 |
| 3.818 | 61 |
| 3.417 | 37 |
| 3.355 | 39 |
| 2.948 | 37 |
| 2.937 | 38 |
| 2.756 | 100 |
| 2.562 | 52 |
| 2.026 | 61 |
| 2.000 | 30 |
| 1.576 | 35 |

Structure:
Cell: 7.121 7.121 13.812 Å, 90.00 90.00 147.38°
Positions (direct):
K 0.108 0.892 0.750
K 0.892 0.108 0.250
Gd 0.366 0.634 0.562
Gd 0.366 0.634 0.938
Gd 0.634 0.366 0.062
Gd 0.634 0.366 0.438
Cu 0.163 0.837 0.250
Cu 0.837 0.163 0.750
S 0.000 0.000 0.000
S 0.000 0.000 0.500
S 0.262 0.738 0.112
S 0.262 0.738 0.388
S 0.429 0.571 0.750
S 0.571 0.429 0.250
S 0.738 0.262 0.612
S 0.738 0.262 0.888


6.
The following is a calculated powder diffraction line list of Ca5Ga2As6. It was derived from a structure optimized by DFT (PBE), using λ = 1.5418 Å (Cu Kα).
Kinematic intensities with the Lorentz-polarization factor, no thermal factor.

Most intense lines, 10 to 90 degrees two-theta, low angle first:
| d (Å) | I/Imax |
| --- | --- |
| 3.502 | 37 |
| 3.377 | 100 |
| 2.797 | 41 |
| 2.755 | 67 |
| 2.683 | 91 |
| 2.599 | 40 |
| 2.376 | 53 |
| 2.180 | 41 |
| 2.087 | 79 |
| 1.956 | 36 |
| 1.933 | 62 |
| 1.921 | 45 |

Structure:
Cell: 11.444 13.287 4.175 Å, 90.00 90.00 90.00°
Positions (direct):
Ca 0.000 0.000 0.000
Ca 0.089 0.252 0.000
Ca 0.175 0.514 0.000
Ca 0.325 0.014 0.000
Ca 0.411 0.752 0.000
Ca 0.500 0.500 0.000
Ca 0.589 0.248 0.000
Ca 0.675 0.986 0.000
Ca 0.825 0.486 0.000
Ca 0.911 0.748 0.000
Ga 0.172 0.713 0.500
Ga 0.328 0.213 0.500
Ga 0.672 0.787 0.500
Ga 0.828 0.287 0.500
As 0.019 0.406 0.500
As 0.155 0.097 0.500
As 0.161 0.820 0.000
As 0.339 0.320 0.000
As 0.345 0.597 0.500
As 0.481 0.906 0.500
As 0.519 0.094 0.500
As 0.655 0.403 0.500
As 0.661 0.680 0.000
As 0.839 0.180 0.000
As 0.845 0.903 0.500
As 0.981 0.594 0.500


7.
The following is a calculated powder diffraction line list of Er2InCu2. It was derived from a structure optimized by DFT (PBE), using λ = 1.5418 Å (Cu Kα).
Kinematic intensities with the Lorentz-polarization factor, no thermal factor.

Most intense lines, 10 to 90 degrees two-theta, low angle first:
| d (Å) | I/Imax |
| --- | --- |
| 3.403 | 22 |
| 2.691 | 15 |
| 2.611 | 54 |
| 2.470 | 100 |
| 2.407 | 45 |
| 1.846 | 16 |
| 1.795 | 21 |
| 1.642 | 18 |
| 1.605 | 18 |
| 1.439 | 18 |
| 1.378 | 13 |
| 1.129 | 12 |

Structure:
Cell: 7.610 7.610 3.590 Å, 90.00 90.00 90.00°
Positions (direct):
Er 0.174 0.326 0.000
Er 0.326 0.826 0.000
Er 0.674 0.174 0.000
Er 0.826 0.674 0.000
In 0.000 0.000 0.500
In 0.500 0.500 0.500
Cu 0.118 0.618 0.500
Cu 0.382 0.118 0.500
Cu 0.618 0.882 0.500
Cu 0.882 0.382 0.500